Record 1
Diffraction record for ZnSi2WO6. The PXRD pattern is computed, not measured: it uses DFT lattice parameters and positions (PBE+U) and Cu Kα, 1.54184 Å.
No peak broadening, texture or thermal motion is included.

The 10 most intense peaks (2θ from 10° to 80°), in order of falling intensity:
2θ (°)  I_rel
13.21  100
28.34  89
18.60  62
33.13  48
34.80  42
29.64  39
34.28  38
40.31  31
25.46  26
41.15  22

Structural model:
a b c (Å): 10.037 9.410 5.503
angles (deg): 90.00 108.04 90.00
Space group C2/c (No. 15)
Symmetry-distinct sites (fractional):
Zn 0.000 0.215 0.250
Si 0.204 0.083 0.746
W 0.000 0.397 0.750
O 0.121 0.424 0.154
O 0.136 0.239 0.673
O 0.153 0.015 0.981


Record 2
Diffraction record for Zn3Si4W2O14. The PXRD pattern is computed, not measured: it uses DFT lattice parameters and positions (PBE+U) and Cu Kα, 1.54184 Å.
No peak broadening, texture or thermal motion is included.

The 10 most intense peaks (2θ from 10° to 80°), in order of falling intensity:
2θ (°)  I_rel
12.53  100
12.66  69
29.66  44
37.69  40
33.64  35
27.80  29
19.42  28
21.86  25
26.01  23
29.12  20

Structural model:
a b c (Å): 16.679 8.047 10.750
angles (deg): 90.00 122.09 90.00
Space group C2/c (No. 15)
Symmetry-distinct sites (fractional):
Zn 0.000 0.093 0.250
Zn 0.145 0.308 0.375
Si 0.138 0.174 0.088
Si 0.176 0.192 0.689
W 0.000 0.314 0.750
W 0.000 0.500 0.000
O 0.075 0.500 0.396
O 0.080 0.141 0.911
O 0.084 0.310 0.650
O 0.089 0.316 0.139
O 0.144 0.004 0.179
O 0.216 0.217 0.581
O 0.243 0.250 0.144


Record 3
Diffraction record for Sr2SmVO6. The PXRD pattern is computed, not measured: it uses DFT lattice parameters and positions (PBE+U) and Cu Kα, 1.54184 Å.
No peak broadening, texture or thermal motion is included.

The 10 most intense peaks (2θ from 10° to 80°), in order of falling intensity:
2θ (°)  I_rel
30.38  100
53.98  39
43.50  34
63.20  20
71.73  18
18.47  13
35.79  12
47.63  7
79.85  6
21.35  4

Structural model:
a b c (Å): 8.322 8.322 8.322
angles (deg): 90.00 90.00 90.00
Space group Fm-3m (No. 225)
Symmetry-distinct sites (fractional):
Sr 0.250 0.250 0.250
Sm 0.000 0.000 0.000
V 0.000 0.000 0.500
O 0.000 0.000 0.272


Record 4
Diffraction record for SrSmV4O12. The PXRD pattern is computed, not measured: it uses DFT lattice parameters and positions (PBE+U) and Cu Kα, 1.54184 Å.
No peak broadening, texture or thermal motion is included.

The 10 most intense peaks (2θ from 10° to 80°), in order of falling intensity:
2θ (°)  I_rel
20.33  100
33.53  69
39.44  36
33.43  35
48.00  34
59.82  26
70.48  18
39.62  18
48.31  16
52.78  16

Structural model:
a b c (Å): 5.361 5.361 7.536
angles (deg): 90.00 90.00 90.00
Space group P4/mmm (No. 123)
Symmetry-distinct sites (fractional):
Sr 0.000 0.000 0.000
Sm 0.500 0.500 0.500
V 0.000 0.500 0.249
O 0.000 0.500 0.000
O 0.000 0.500 0.500
O 0.253 0.253 0.257


Please write out number 4 again, unchanged.
Diffraction record for SrSmV4O12. The PXRD pattern is computed, not measured: it uses DFT lattice parameters and positions (PBE+U) and Cu Kα, 1.54184 Å.
No peak broadening, texture or thermal motion is included.

The 10 most intense peaks (2θ from 10° to 80°), in order of falling intensity:
2θ (°)  I_rel
20.33  100
33.53  69
39.44  36
33.43  35
48.00  34
59.82  26
70.48  18
39.62  18
48.31  16
52.78  16

Structural model:
a b c (Å): 5.361 5.361 7.536
angles (deg): 90.00 90.00 90.00
Space group P4/mmm (No. 123)
Symmetry-distinct sites (fractional):
Sr 0.000 0.000 0.000
Sm 0.500 0.500 0.500
V 0.000 0.500 0.249
O 0.000 0.500 0.000
O 0.000 0.500 0.500
O 0.253 0.253 0.257


Question: Which formula does entry 1 have?
Answer: ZnSi2WO6